1.
This entry pairs a crystal structure of Li2Ag2HPd4 with its simulated X-ray diffraction stick pattern. Radiation: Cu Kα (weighted mean of Kα1 and Kα2). Structure: DFT lattice parameters and positions (PBE).

Main lines, in order of falling intensity (2θ = 15–90°):
| two_theta | d_spacing | I_rel | hkl |
| --- | --- | --- | --- |
| 39.29 | 2.293 | 100 | 2 0 2 |
| 46.19 | 1.965 | 31 | 2 2 0 |
| 80.88 | 1.188 | 23 | 4 2 2 |
| 22.62 | 3.931 | 22 | 1 1 0 |
| 66.19 | 1.412 | 21 | 2 2 4 |
| 31.69 | 2.824 | 19 | 1 1 2 |
| 44.65 | 2.030 | 17 | 0 0 4 |
| 78.65 | 1.217 | 12 | 2 0 6 |
| 21.90 | 4.059 | 11 | 0 0 2 |
| 84.50 | 1.147 | 10 | 4 0 4 |

Crystal structure
abc: 5.5586 5.5586 8.1180
angles: 90.00 90.00 90.00
Space group I4/mmm (No. 139)
One atom of each set of equivalent atoms:
Li 0.0000 0.0000 0.2438 (multiplicity 4)
Ag 0.0000 0.5000 0.2500 (multiplicity 4)
H 0.0000 0.0000 0.5000 (multiplicity 2)
Pd 0.2498 0.2498 0.0000 (multiplicity 8)

***

2.
This entry pairs a crystal structure of AuBr with its simulated X-ray diffraction stick pattern. Radiation: Cu Kα (weighted mean of Kα1 and Kα2). Structure: DFT lattice parameters and positions (PBE).

Main lines, in order of falling intensity (2θ = 15–90°):
| two_theta | d_spacing | I_rel | hkl |
| --- | --- | --- | --- |
| 29.65 | 3.013 | 100 | 1 1 1 |
| 35.31 | 2.542 | 64 | 1 1 3 |
| 49.81 | 1.831 | 44 | 2 0 4 |
| 43.54 | 2.078 | 44 | 2 0 2 |
| 44.77 | 2.024 | 33 | 1 1 5 |
| 24.31 | 3.661 | 27 | 1 0 2 |
| 68.17 | 1.376 | 19 | 3 1 1 |
| 40.43 | 2.231 | 18 | 0 0 6 |
| 71.41 | 1.321 | 17 | 3 1 3 |
| 56.58 | 1.627 | 17 | 1 1 7 |

Crystal structure
abc: 4.3731 4.3731 13.3873
angles: 90.00 90.00 90.00
Space group P4_2/ncm (No. 138, origin choice 2)
One atom of each set of equivalent atoms:
Au 0.0000 0.0000 0.0000 (multiplicity 4)
Br 0.2500 0.2500 0.1457 (multiplicity 4)

***

3.
This entry pairs a crystal structure of PaCdAs2Rh5 with its simulated X-ray diffraction stick pattern. Radiation: Cu Kα (weighted mean of Kα1 and Kα2). Structure: DFT lattice parameters and positions (PBE).

Main lines, in order of falling intensity (2θ = 15–90°):
| two_theta | d_spacing | I_rel | hkl |
| --- | --- | --- | --- |
| 36.75 | 2.445 | 100 | 1 1 2 |
| 37.46 | 2.401 | 90 | 2 0 0 |
| 67.13 | 1.394 | 34 | 3 1 2 |
| 54.02 | 1.698 | 31 | 2 2 0 |
| 31.49 | 2.841 | 27 | 1 0 2 |
| 42.85 | 2.111 | 16 | 1 0 3 |
| 49.72 | 1.834 | 15 | 2 1 2 |
| 58.20 | 1.585 | 13 | 2 1 3 |
| 65.73 | 1.421 | 13 | 2 0 4 |
| 22.40 | 3.968 | 12 | 1 0 1 |

Crystal structure
abc: 4.8013 4.8013 7.0496
angles: 90.00 90.00 90.00
Space group P4/mmm (No. 123)
One atom of each set of equivalent atoms:
Pa 0.0000 0.0000 0.0000 (multiplicity 1)
Cd 0.0000 0.0000 0.5000 (multiplicity 1)
As 0.5000 0.5000 0.1694 (multiplicity 2)
Rh 0.0000 0.5000 0.2134 (multiplicity 4)
Rh 0.5000 0.5000 0.5000 (multiplicity 1)